Diffraction record for PaHg2O4. The X-ray diffraction stick pattern is computed, not measured: it uses a structure optimized by DFT (GGA-PBE) and Cu Kα, 1.54184 Å.
No peak broadening, texture or thermal motion is included.

Structural model:
```
PaHg2O4
1.0
6.5457 -3.8719 0.0000
6.5457 3.8719 0.0000
-3.6276 0.0000 5.8602
Pa Hg O
2 4 8
Direct
0.0000 0.0000 0.0000
0.0083 0.0083 0.5082
0.9999 0.5073 0.7541
0.5073 0.9999 0.7541
0.5688 0.5688 0.2740
0.5713 0.5713 0.8699
0.1210 0.1210 0.3637
0.1211 0.1211 0.8773
0.2103 0.6622 0.9374
0.3650 0.7736 0.5685
0.6622 0.2103 0.9374
0.7736 0.3650 0.5685
0.8879 0.8879 0.1543
0.8880 0.8880 0.6226
```

Peak list (12 most intense, 2θ = 10–90°, sorted by position)
d/Å, 2theta, intensity
5.860, 15.1, 55
5.566, 15.9, 35
3.230, 27.6, 37
3.178, 28.1, 100
3.030, 29.5, 69
2.783, 32.2, 20
2.401, 37.5, 34
2.336, 38.5, 27
2.165, 41.7, 27
2.031, 44.6, 27
1.515, 61.2, 20
1.505, 61.6, 25